This entry pairs a crystal structure of RbCe3Te6 with its calculated XRD peak list. Radiation: Cu Ka. Structure: a structure optimized by DFT (GGA-PBE).
Kinematic intensities with the Lorentz-polarization factor, no thermal factor.

Structure:
Lattice parameters (Å, degrees): 13.506 4.571 13.986 90.00 106.58 90.00
Space group P2_1/m (No. 11)
Inequivalent atoms, fractional coordinates:
Rb  0.140  0.250  0.427
Ce  0.157  0.750  0.046
Ce  0.237  0.250  0.790
Ce  0.460  0.250  0.349
Te  0.052  0.250  0.892
Te  0.144  0.750  0.644
Te  0.238  0.250  0.197
Te  0.327  0.750  0.941
Te  0.366  0.750  0.450
Te  0.453  0.250  0.752

Peak list (6 most intense, 10 to 80 degrees two-theta, low angle first)
| d_spacing | I (rel.) | (hkl) |
| --- | --- | --- |
| 8.214 | 50 | 1 0 1 |
| 3.478 | 100 | 1 1 2 |
| 3.307 | 46 | 4 0 -2 |
| 2.964 | 52 | 1 1 3 |
| 2.286 | 96 | 0 2 0 |
| 2.252 | 75 | 5 1 0 |

This entry pairs a crystal structure of Pm4CdAgHg2 with its calculated XRD peak list. Radiation: Cu Ka. Structure: a structure optimized by DFT (GGA-PBE).
Kinematic intensities with the Lorentz-polarization factor, no thermal factor.

Structure:
Lattice parameters (Å, degrees): 5.3641 5.3641 26.2805 90.00 90.00 120.00
Space group R-3m (No. 166, hexagonal axes)
Inequivalent atoms, fractional coordinates:
Pm  0.0000  0.0000  0.1219
Pm  0.0000  0.0000  0.3725
Cd  0.0000  0.0000  0.5000
Ag  0.0000  0.0000  0.0000
Hg  0.0000  0.0000  0.2459

Peak list (6 most intense, 10 to 80 degrees two-theta, low angle first)
| d_spacing | I (rel.) | (hkl) |
| --- | --- | --- |
| 4.380 | 4 | 0 0 6 |
| 2.682 | 100 | 1 1 0 |
| 1.897 | 18 | 2 0 8 |
| 1.549 | 37 | 3 0 0 |
| 1.341 | 11 | 2 2 0 |
| 1.199 | 16 | 3 1 8 |